1.
# NbHPdBr
Computed powder XRD pattern, CuKα. Input: DFT lattice parameters and positions (GGA-PBE).
No peak broadening, texture or thermal motion is included.

Most intense lines, 2θ = 5–70°, sorted by position:
d (Å), I (rel.)
6.223, 26.6
2.926, 88.3
2.808, 26.6
2.799, 28.4
2.269, 45.8
2.215, 34.5
2.206, 33.1
2.141, 100.0
2.074, 26.0
1.658, 18.8

Cell and atoms:
```
data_NbHPdBr
_chemical_formula_sum 'Nb1 H1 Pd1 Br1'
_cell_length_a 3.140
_cell_length_b 3.315
_cell_length_c 6.223
_cell_angle_alpha 90.00
_cell_angle_beta 90.23
_cell_angle_gamma 90.00
_symmetry_space_group_name_H-M 'P 1 m 1'
_symmetry_Int_Tables_number 6
loop_
_symmetry_equiv_pos_as_xyz
'x,y,z'
'x,-y,z'
loop_
_atom_site_label
_atom_site_type_symbol
_atom_site_fract_x
_atom_site_fract_y
_atom_site_fract_z
_atom_site_occupancy
Nb1 Nb 0.000 0.000 0.000 1
H1 H 0.999 0.500 0.872 1
Pd1 Pd 0.503 0.500 0.264 1
Br1 Br 0.497 0.000 0.660 1
```

***

2.
# Ac3HfO6
Computed powder XRD pattern, CuKα. Input: DFT lattice parameters and positions (GGA-PBE).
No peak broadening, texture or thermal motion is included.

Most intense lines, 2θ = 5–70°, sorted by position:
d (Å), I (rel.)
3.943, 33.2
3.580, 25.1
3.268, 100.0
3.140, 42.2
2.948, 77.9
2.299, 16.2
2.231, 31.2
1.963, 30.7
1.843, 19.4
1.634, 16.4

Cell and atoms:
```
data_Ac3HfO6
_chemical_formula_sum 'Ac18 Hf6 O36'
_cell_length_a 10.3869
_cell_length_b 10.3869
_cell_length_c 11.8290
_cell_angle_alpha 90.00
_cell_angle_beta 90.00
_cell_angle_gamma 120.00
_symmetry_space_group_name_H-M 'R -3'
_symmetry_Int_Tables_number 148
_symmetry_space_group_name_Hall '-R 3'
loop_
_atom_site_label
_atom_site_type_symbol
_atom_site_fract_x
_atom_site_fract_y
_atom_site_fract_z
_atom_site_occupancy
Ac1 Ac 0.0381 0.7737 0.2061 1
Hf1 Hf 0.0000 0.0000 0.0000 1
Hf2 Hf 0.0000 0.0000 0.5000 1
O1 O 0.0235 0.8485 0.8939 1
O2 O 0.0340 0.8404 0.4086 1
```